1.
# MnVCo4
Theoretical X-ray diffraction stick pattern, Cu Kα. Input: a cell relaxed with GGA-PBE.
Lines closer than 0.1° are merged.

Main lines, by angle (15 to 90 degrees two-theta):
2θ (°), d/Å, intensity
44.83, 2.022, 51.3
45.16, 2.008, 100.0
65.26, 1.430, 15.0
66.30, 1.410, 7.1
82.90, 1.165, 28.7
83.62, 1.156, 13.9

Cell and atoms:
Cell lengths 6.1906, 6.1906, 6.1906 Å; angles 141.87, 93.82, 98.44 degrees
Element x y z (fractional)
Mn 0.3760 0.1260 0.2500
Mn 0.6240 0.8740 0.7500
V 0.1333 0.3833 0.7500
V 0.8667 0.6167 0.2500
Co 0.0403 0.1298 0.9105
Co 0.2114 0.6256 0.5858
Co 0.2807 0.8702 0.4105
Co 0.4602 0.3744 0.0858
Co 0.5398 0.6256 0.9142
Co 0.7193 0.1298 0.5895
Co 0.7886 0.3744 0.4142
Co 0.9597 0.8702 0.0895

***

2.
# Mn3V4Co2
Theoretical X-ray diffraction stick pattern, Cu Kα. Input: a cell relaxed with GGA-PBE.
Lines closer than 0.1° are merged.

Main lines, by angle (15 to 90 degrees two-theta):
2θ (°), d/Å, intensity
44.40, 2.040, 100.0
44.61, 2.031, 98.0
64.76, 1.440, 28.9
81.75, 1.178, 14.2
81.90, 1.176, 28.0
82.35, 1.171, 13.5

Cell and atoms:
Cell lengths 4.0808, 4.0808, 7.4465 Å; angles 90.00, 90.00, 120.00 degrees
Element x y z (fractional)
Mn 0.0000 0.0000 0.0000
Mn 0.3333 0.6667 0.5649
Mn 0.6667 0.3333 0.4351
V 0.0000 0.0000 0.3367
V 0.0000 0.0000 0.6633
V 0.3333 0.6667 0.8881
V 0.6667 0.3333 0.1119
Co 0.3333 0.6667 0.2219
Co 0.6667 0.3333 0.7781

***

3.
# MnV2Co6
Theoretical X-ray diffraction stick pattern, Cu Kα. Input: a cell relaxed with GGA-PBE.
Lines closer than 0.1° are merged.

Main lines, by angle (15 to 90 degrees two-theta):
2θ (°), d/Å, intensity
40.02, 2.253, 42.9
41.47, 2.178, 36.9
43.90, 2.062, 15.3
47.20, 1.926, 100.0
56.21, 1.637, 24.8
80.70, 1.191, 18.4

Cell and atoms:
Cell lengths 4.7627, 4.7627, 5.3791 Å; angles 90.00, 90.00, 120.00 degrees
Element x y z (fractional)
Mn 0.0000 0.0000 0.0000
V 0.3333 0.6667 0.8734
V 0.6667 0.3333 0.1266
Co 0.1737 0.3474 0.3243
Co 0.1737 0.8263 0.3243
Co 0.3474 0.1737 0.6757
Co 0.6526 0.8263 0.3243
Co 0.8263 0.1737 0.6757
Co 0.8263 0.6526 0.6757

***

4.
# Mn3VCo6
Theoretical X-ray diffraction stick pattern, Cu Kα. Input: a cell relaxed with GGA-PBE.
Lines closer than 0.1° are merged.

Main lines, by angle (15 to 90 degrees two-theta):
2θ (°), d/Å, intensity
43.91, 2.062, 31.2
44.29, 2.045, 100.0
45.46, 1.995, 38.8
48.25, 1.886, 41.3
49.37, 1.846, 13.3
83.27, 1.160, 11.9

Cell and atoms:
Cell lengths 6.2905, 6.2905, 6.2905 Å; angles 101.26, 101.26, 101.26 degrees
Element x y z (fractional)
Mn 0.0693 0.3382 0.3382
Mn 0.3382 0.0693 0.3382
Mn 0.3382 0.3382 0.0693
Mn 0.6618 0.6618 0.9307
Mn 0.6618 0.9307 0.6618
Mn 0.9307 0.6618 0.6618
V 0.0000 0.0000 0.0000
V 0.5000 0.5000 0.5000
Co 0.0990 0.0990 0.6715
Co 0.0990 0.6715 0.0990
Co 0.2420 0.5000 0.7580
Co 0.2420 0.7580 0.5000
Co 0.3285 0.9010 0.9010
Co 0.5000 0.2420 0.7580
Co 0.5000 0.7580 0.2420
Co 0.6715 0.0990 0.0990
Co 0.7580 0.2420 0.5000
Co 0.7580 0.5000 0.2420
Co 0.9010 0.3285 0.9010
Co 0.9010 0.9010 0.3285

***

5.
# Mn2CoW
Theoretical X-ray diffraction stick pattern, Cu Kα. Input: a cell relaxed with GGA-PBE.
Lines closer than 0.1° are merged.

Main lines, by angle (15 to 90 degrees two-theta):
2θ (°), d/Å, intensity
21.26, 4.179, 16.9
24.56, 3.625, 26.5
43.02, 2.103, 100.0
43.30, 2.089, 24.4
45.07, 2.012, 21.8
79.25, 1.209, 16.7

Cell and atoms:
Cell lengths 3.0552, 4.0231, 8.3577 Å; angles 90.00, 90.00, 90.00 degrees
Element x y z (fractional)
Mn 0.0000 0.0000 0.0000
Mn 0.0000 0.5000 0.2452
Mn 0.5000 0.0000 0.7452
Mn 0.5000 0.5000 0.5000
Co 0.0000 0.0000 0.5020
Co 0.5000 0.5000 0.0020
W 0.0000 0.5000 0.7524
W 0.5000 0.0000 0.2524

***

6.
# Mn2CoW
Theoretical X-ray diffraction stick pattern, Cu Kα. Input: a cell relaxed with GGA-PBE.
Lines closer than 0.1° are merged.

Main lines, by angle (15 to 90 degrees two-theta):
2θ (°), d/Å, intensity
26.30, 3.388, 31.4
30.46, 2.934, 14.8
43.62, 2.075, 100.0
51.65, 1.770, 16.2
63.39, 1.467, 15.8
80.11, 1.198, 31.6

Cell and atoms:
Cell lengths 5.8689, 5.8689, 5.8689 Å; angles 90.00, 90.00, 90.00 degrees
Element x y z (fractional)
Mn 0.0000 0.0000 0.0000
Mn 0.0000 0.5000 0.5000
Mn 0.2500 0.2500 0.2500
Mn 0.2500 0.7500 0.7500
Mn 0.5000 0.0000 0.5000
Mn 0.5000 0.5000 0.0000
Mn 0.7500 0.2500 0.7500
Mn 0.7500 0.7500 0.2500
Co 0.2500 0.2500 0.7500
Co 0.2500 0.7500 0.2500
Co 0.7500 0.2500 0.2500
Co 0.7500 0.7500 0.7500
W 0.0000 0.0000 0.5000
W 0.0000 0.5000 0.0000
W 0.5000 0.0000 0.0000
W 0.5000 0.5000 0.5000

***

7.
# Mn2CoW
Theoretical X-ray diffraction stick pattern, Cu Kα. Input: a cell relaxed with GGA-PBE.
Lines closer than 0.1° are merged.

Main lines, by angle (15 to 90 degrees two-theta):
2θ (°), d/Å, intensity
16.61, 5.338, 35.7
30.67, 2.915, 42.3
42.70, 2.118, 97.3
43.25, 2.092, 100.0
48.72, 1.869, 65.5
74.52, 1.273, 35.3

Cell and atoms:
Cell lengths 2.6176, 3.4794, 5.3383 Å; angles 90.00, 90.00, 90.00 degrees
Element x y z (fractional)
Mn 0.0000 0.0000 0.2135
Mn 0.0000 0.0000 0.7865
Co 0.5000 0.5000 0.0000
W 0.5000 0.5000 0.5000

***

8.
# Y2Mn3Co
Theoretical X-ray diffraction stick pattern, Cu Kα. Input: a cell relaxed with GGA-PBE.
Lines closer than 0.1° are merged.

Main lines, by angle (15 to 90 degrees two-theta):
2θ (°), d/Å, intensity
34.32, 2.613, 46.3
35.00, 2.563, 38.3
40.52, 2.226, 44.6
40.82, 2.211, 100.0
41.41, 2.180, 44.9
42.51, 2.126, 36.7

Cell and atoms:
Cell lengths 5.1285, 5.1285, 5.1285 Å; angles 61.25, 61.25, 61.25 degrees
Element x y z (fractional)
Y 0.1262 0.1262 0.1262
Y 0.8738 0.8738 0.8738
Mn 0.0000 0.5000 0.5000
Mn 0.5000 0.0000 0.5000
Mn 0.5000 0.5000 0.0000
Co 0.5000 0.5000 0.5000

***

9.
# Y2Mn2Co15
Theoretical X-ray diffraction stick pattern, Cu Kα. Input: a cell relaxed with GGA-PBE.
Lines closer than 0.1° are merged.

Main lines, by angle (15 to 90 degrees two-theta):
2θ (°), d/Å, intensity
37.37, 2.406, 32.8
41.60, 2.171, 46.6
43.43, 2.084, 66.3
43.69, 2.072, 100.0
44.46, 2.038, 39.7
49.10, 1.855, 54.8

Cell and atoms:
Cell lengths 8.3353, 8.3353, 8.1512 Å; angles 90.00, 90.00, 120.00 degrees
Element x y z (fractional)
Y 0.0000 0.0000 0.2500
Y 0.0000 0.0000 0.7500
Y 0.3333 0.6667 0.2500
Y 0.6667 0.3333 0.7500
Mn 0.3333 0.6667 0.5974
Mn 0.3333 0.6667 0.9026
Mn 0.6667 0.3333 0.0974
Mn 0.6667 0.3333 0.4026
Co 0.0000 0.5000 0.0000
Co 0.0000 0.5000 0.5000
Co 0.0474 0.3752 0.7500
Co 0.0474 0.6722 0.7500
Co 0.1637 0.3273 0.0215
Co 0.1637 0.3273 0.4785
Co 0.1637 0.8363 0.0215
Co 0.1637 0.8363 0.4785
Co 0.3273 0.1637 0.5215
Co 0.3273 0.1637 0.9785
Co 0.3278 0.3752 0.7500
Co 0.3278 0.9526 0.7500
Co 0.3752 0.0474 0.2500
Co 0.3752 0.3278 0.2500
Co 0.5000 0.0000 0.0000
Co 0.5000 0.0000 0.5000
Co 0.5000 0.5000 0.0000
Co 0.5000 0.5000 0.5000
Co 0.6248 0.6722 0.7500
Co 0.6248 0.9526 0.7500
Co 0.6722 0.0474 0.2500
Co 0.6722 0.6248 0.2500
Co 0.6727 0.8363 0.0215
Co 0.6727 0.8363 0.4785
Co 0.8363 0.1637 0.5215
Co 0.8363 0.1637 0.9785
Co 0.8363 0.6727 0.5215
Co 0.8363 0.6727 0.9785
Co 0.9526 0.3278 0.2500
Co 0.9526 0.6248 0.2500

***

10.
# Y12Mn2Co5
Theoretical X-ray diffraction stick pattern, Cu Kα. Input: a cell relaxed with GGA-PBE.
Lines closer than 0.1° are merged.

Main lines, by angle (15 to 90 degrees two-theta):
2θ (°), d/Å, intensity
31.93, 2.803, 29.6
35.12, 2.555, 100.0
36.81, 2.442, 17.2
38.05, 2.365, 15.0
39.66, 2.273, 14.3
55.44, 1.657, 16.0

Cell and atoms:
Cell lengths 8.0245, 8.0245, 8.0245 Å; angles 76.58, 76.58, 76.58 degrees
Element x y z (fractional)
Y 0.0000 0.3058 0.6942
Y 0.0000 0.6942 0.3058
Y 0.0592 0.6945 0.6945
Y 0.3055 0.3055 0.9408
Y 0.3055 0.9408 0.3055
Y 0.3058 0.0000 0.6942
Y 0.3058 0.6942 0.0000
Y 0.6942 0.0000 0.3058
Y 0.6942 0.3058 0.0000
Y 0.6945 0.0592 0.6945
Y 0.6945 0.6945 0.0592
Y 0.9408 0.3055 0.3055
Mn 0.3623 0.3623 0.3623
Mn 0.6377 0.6377 0.6377
Co 0.0000 0.0000 0.5000
Co 0.0000 0.5000 0.0000
Co 0.0670 0.0670 0.0670
Co 0.5000 0.0000 0.0000
Co 0.9330 0.9330 0.9330

***

11.
# Mn3ZnCo
Theoretical X-ray diffraction stick pattern, Cu Kα. Input: a cell relaxed with GGA-PBE.
Lines closer than 0.1° are merged.

Main lines, by angle (15 to 90 degrees two-theta):
2θ (°), d/Å, intensity
28.19, 3.165, 35.1
34.71, 2.584, 71.1
40.30, 2.238, 100.0
58.30, 1.583, 62.0
69.67, 1.350, 23.9
73.25, 1.292, 19.7

Cell and atoms:
Cell lengths 4.4762, 4.4762, 4.4762 Å; angles 90.00, 90.00, 90.00 degrees
Element x y z (fractional)
Mn 0.0000 0.0000 0.5000
Mn 0.0000 0.5000 0.0000
Mn 0.5000 0.0000 0.0000
Zn 0.5000 0.5000 0.5000
Co 0.0000 0.0000 0.0000

***

12.
# MnZnCo2
Theoretical X-ray diffraction stick pattern, Cu Kα. Input: a cell relaxed with GGA-PBE.
Lines closer than 0.1° are merged.

Main lines, by angle (15 to 90 degrees two-theta):
2θ (°), d/Å, intensity
43.56, 2.078, 100.0
48.66, 1.871, 17.7
51.76, 1.766, 29.1
73.77, 1.284, 18.4
76.23, 1.249, 8.4
87.38, 1.116, 11.6

Cell and atoms:
Cell lengths 3.5326, 3.5326, 7.4850 Å; angles 90.00, 90.00, 90.00 degrees
Element x y z (fractional)
Mn 0.0000 0.0000 0.0000
Mn 0.5000 0.5000 0.5000
Zn 0.0000 0.5000 0.7500
Zn 0.5000 0.0000 0.2500
Co 0.0000 0.0000 0.5000
Co 0.0000 0.5000 0.2500
Co 0.5000 0.0000 0.7500
Co 0.5000 0.5000 0.0000

***

13.
# Mn2Zn2Co3
Theoretical X-ray diffraction stick pattern, Cu Kα. Input: a cell relaxed with GGA-PBE.
Lines closer than 0.1° are merged.

Main lines, by angle (15 to 90 degrees two-theta):
2θ (°), d/Å, intensity
42.25, 2.139, 35.4
45.33, 2.001, 100.0
46.29, 1.962, 70.1
66.79, 1.401, 21.4
83.74, 1.155, 14.6
84.43, 1.147, 21.3

Cell and atoms:
Cell lengths 6.7527, 6.7527, 6.7527 Å; angles 34.47, 34.47, 34.47 degrees
Element x y z (fractional)
Mn 0.1123 0.1123 0.1123
Mn 0.8877 0.8877 0.8877
Zn 0.3682 0.3682 0.3682
Zn 0.6318 0.6318 0.6318
Co 0.2360 0.2360 0.2360
Co 0.5000 0.5000 0.5000
Co 0.7640 0.7640 0.7640